Diffraction record for Li4MnCo2NiO8. The powder X-ray diffraction pattern is simulated, not measured: it uses a cell relaxed with PBE+U and λ = 1.5418 Å (Cu Kα).

Atomic structure:
```
data_Li4MnCo2NiO8
_space_group_name_H-M_alt 'P 1 2/m 1'
_space_group_IT_number 10
_cell_length_a 5.1174
_cell_length_b 2.8839
_cell_length_c 9.6811
_cell_angle_alpha 90.00
_cell_angle_beta 99.10
_cell_angle_gamma 90.00
loop_
_space_group_symop_operation_xyz
'x,y,z'
'-x,-y,-z'
'-x,y,-z'
'x,-y,z'
loop_
_atom_site_label
_atom_site_type_symbol
_atom_site_fract_x
_atom_site_fract_y
_atom_site_fract_z
Li1 Li 0.2407 0.0000 0.2415
Li2 Li 0.2492 0.5000 0.7638
Mn1 Mn 0.5000 0.5000 0.5000
Co1 Co 0.0000 0.0000 0.5000
Co2 Co 0.0000 0.5000 0.0000
Ni1 Ni 0.5000 0.0000 0.0000
O1 O 0.1143 0.0000 0.8865
O2 O 0.1497 0.5000 0.3889
O3 O 0.3532 0.5000 0.1070
O4 O 0.3944 0.0000 0.6156
```

Largest 10 diffraction maxima, by intensity, 2θ = 10–90°:
- hkl 0 0 2, 4.780 Å, 2θ 18.6, I 100.0
- hkl 1 1 -3, 2.049 Å, 2θ 44.2, I 48.1
- hkl 1 1 -1, 2.471 Å, 2θ 36.4, I 27.2
- hkl 2 0 2, 2.101 Å, 2θ 43.1, I 25.6
- hkl 2 0 0, 2.526 Å, 2θ 35.5, I 14.9
- hkl 3 1 -1, 1.468 Å, 2θ 63.4, I 13.7
- hkl 1 1 5, 1.465 Å, 2θ 63.5, I 13.0
- hkl 0 0 4, 2.393 Å, 2θ 37.6, I 10.2
- hkl 1 1 3, 1.898 Å, 2θ 47.9, I 9.6
- hkl 1 1 1, 2.378 Å, 2θ 37.8, I 9.6